The following is a simulated powder XRD pattern of KTaSi2O7. It was derived from the GGA-PBE geometry in the Materials Project, using copper Kα.

Cell and atoms:
a = 8.8908 Å, b = 8.8908 Å, c = 7.9998 Å
α = 90.00°, β = 90.00°, γ = 90.00°
Element x y z (fractional)
K1 0.1777 0.3223 0.0000
K2 0.3223 0.8223 0.0000
K3 0.6777 0.1777 0.0000
K4 0.8223 0.6777 0.0000
Ta1 0.0000 0.0000 0.2489
Ta2 0.0000 0.0000 0.7511
Ta3 0.5000 0.5000 0.2489
Ta4 0.5000 0.5000 0.7511
Si1 0.1234 0.6234 0.2999
Si2 0.1234 0.6234 0.7001
Si3 0.3766 0.1234 0.2999
Si4 0.3766 0.1234 0.7001
Si5 0.6234 0.8766 0.2999
Si6 0.6234 0.8766 0.7001
Si7 0.8766 0.3766 0.2999
Si8 0.8766 0.3766 0.7001
O1 0.0000 0.0000 0.0000
O2 0.0000 0.0000 0.5000
O3 0.0000 0.5000 0.2265
O4 0.0000 0.5000 0.7735
O5 0.0763 0.7885 0.2330
O6 0.0763 0.7885 0.7670
O7 0.1177 0.6177 0.5000
O8 0.2115 0.0763 0.2330
O9 0.2115 0.0763 0.7670
O10 0.2885 0.5763 0.2330
O11 0.2885 0.5763 0.7670
O12 0.3823 0.1177 0.5000
O13 0.4237 0.2885 0.2330
O14 0.4237 0.2885 0.7670
O15 0.5000 0.0000 0.2265
O16 0.5000 0.0000 0.7735
O17 0.5000 0.5000 0.0000
O18 0.5000 0.5000 0.5000
O19 0.5763 0.7115 0.2330
O20 0.5763 0.7115 0.7670
O21 0.6177 0.8823 0.5000
O22 0.7115 0.4237 0.2330
O23 0.7115 0.4237 0.7670
O24 0.7885 0.9237 0.2330
O25 0.7885 0.9237 0.7670
O26 0.8823 0.3823 0.5000
O27 0.9237 0.2115 0.2330
O28 0.9237 0.2115 0.7670

Principal peaks in the range 5 to 70 degrees two-theta, in order of falling intensity:
14.09 deg, I = 100, hkl 1 1 0; 31.81 deg, I = 78, hkl 3 1 0; 19.97 deg, I = 73, hkl 2 0 0; 30.05 deg, I = 61, hkl 2 0 2; 26.41 deg, I = 52, hkl 1 1 2; 22.22 deg, I = 49, hkl 0 0 2; 28.39 deg, I = 36, hkl 2 2 0; 45.63 deg, I = 28, hkl 4 2 0

The following is a simulated powder XRD pattern of K3Ti4Si3O20. It was derived from the GGA-PBE geometry in the Materials Project, using copper Kα.

Cell and atoms:
a = 7.8374 Å, b = 7.8374 Å, c = 7.8374 Å
α = 90.00°, β = 90.00°, γ = 90.00°
Element x y z (fractional)
K1 0.0000 0.0000 0.5000
K2 0.0000 0.5000 0.0000
K3 0.5000 0.0000 0.0000
Ti1 0.3535 0.3535 0.6465
Ti2 0.3535 0.6465 0.3535
Ti3 0.6465 0.3535 0.3535
Ti4 0.6465 0.6465 0.6465
Si1 0.0000 0.5000 0.5000
Si2 0.5000 0.0000 0.5000
Si3 0.5000 0.5000 0.0000
O1 0.1164 0.3769 0.6231
O2 0.1164 0.6231 0.3769
O3 0.1785 0.1785 0.1785
O4 0.1785 0.8215 0.8215
O5 0.3769 0.1164 0.6231
O6 0.3769 0.3769 0.8836
O7 0.3769 0.6231 0.1164
O8 0.3769 0.8836 0.3769
O9 0.3878 0.3878 0.3878
O10 0.3878 0.6122 0.6122
O11 0.6122 0.3878 0.6122
O12 0.6122 0.6122 0.3878
O13 0.6231 0.1164 0.3769
O14 0.6231 0.3769 0.1164
O15 0.6231 0.6231 0.8836
O16 0.6231 0.8836 0.6231
O17 0.8215 0.1785 0.8215
O18 0.8215 0.8215 0.1785
O19 0.8836 0.3769 0.3769
O20 0.8836 0.6231 0.6231

Principal peaks in the range 5 to 70 degrees two-theta, in order of falling intensity:
11.29 deg, I = 100, hkl 1 0 0; 27.88 deg, I = 49, hkl 2 1 1; 32.31 deg, I = 30, hkl 2 2 0; 36.25 deg, I = 28, hkl 3 1 0; 67.62 deg, I = 14, hkl 4 4 0; 52.19 deg, I = 12, hkl 4 2 0; 22.69 deg, I = 12, hkl 2 0 0; 49.33 deg, I = 11, hkl 4 1 1

The following is a simulated powder XRD pattern of K3U3Si2O13. It was derived from the GGA-PBE geometry in the Materials Project, using copper Kα.

Cell and atoms:
a = 9.6660 Å, b = 9.6660 Å, c = 8.4637 Å
α = 90.00°, β = 90.00°, γ = 120.00°
Element x y z (fractional)
K1 0.0411 0.6149 0.2500
K2 0.3851 0.4262 0.2500
K3 0.4262 0.3851 0.7500
K4 0.5738 0.9589 0.2500
K5 0.6149 0.0411 0.7500
K6 0.9589 0.5738 0.7500
U1 0.0000 0.2439 0.0000
U2 0.0000 0.2439 0.5000
U3 0.2439 0.0000 0.0000
U4 0.2439 0.0000 0.5000
U5 0.7561 0.7561 0.0000
U6 0.7561 0.7561 0.5000
Si1 0.3333 0.6667 0.5552
Si2 0.3333 0.6667 0.9448
Si3 0.6667 0.3333 0.0552
Si4 0.6667 0.3333 0.4448
O1 0.0000 0.8089 0.0000
O2 0.0000 0.8089 0.5000
O3 0.0012 0.2540 0.2500
O4 0.1789 0.5023 0.0080
O5 0.1789 0.5023 0.4920
O6 0.1911 0.1911 0.0000
O7 0.1911 0.1911 0.5000
O8 0.2528 0.9988 0.2500
O9 0.2540 0.0012 0.7500
O10 0.3235 0.8211 0.0080
O11 0.3235 0.8211 0.4920
O12 0.3333 0.6667 0.7500
O13 0.4977 0.6765 0.0080
O14 0.4977 0.6765 0.4920
O15 0.5023 0.1789 0.5080
O16 0.5023 0.1789 0.9920
O17 0.6667 0.3333 0.2500
O18 0.6765 0.4977 0.5080
O19 0.6765 0.4977 0.9920
O20 0.7460 0.7472 0.2500
O21 0.7472 0.7460 0.7500
O22 0.8089 0.0000 0.0000
O23 0.8089 0.0000 0.5000
O24 0.8211 0.3235 0.5080
O25 0.8211 0.3235 0.9920
O26 0.9988 0.2528 0.7500

Principal peaks in the range 5 to 70 degrees two-theta, in order of falling intensity:
28.21 deg, I = 100, hkl 2 1 0; 18.36 deg, I = 75, hkl 1 1 0; 28.03 deg, I = 74, hkl 1 1 2; 35.42 deg, I = 53, hkl 2 1 2; 20.99 deg, I = 47, hkl 0 0 2; 10.57 deg, I = 45, hkl 1 0 0; 51.99 deg, I = 36, hkl 2 1 4; 48.53 deg, I = 32, hkl 4 0 2